# 1
# Ca2SnS4
Theoretical X-ray powder pattern, copper Kα. Input: the GGA-PBE geometry in the Materials Project.
Intensities are scaled so that the largest is 1000.

Structure:
Unit cell a=10.977 b=8.686 c=7.338 alpha=90.00 beta=90.00 gamma=90.00
Element x y z (fractional)
Ca 0.190 0.005 0.121
Ca 0.190 0.495 0.121
Ca 0.310 0.505 0.621
Ca 0.310 0.995 0.621
Ca 0.690 0.005 0.379
Ca 0.690 0.495 0.379
Ca 0.810 0.505 0.879
Ca 0.810 0.995 0.879
Sn 0.031 0.250 0.611
Sn 0.469 0.750 0.111
Sn 0.531 0.250 0.889
Sn 0.969 0.750 0.389
S 0.064 0.013 0.776
S 0.064 0.487 0.776
S 0.190 0.750 0.403
S 0.199 0.250 0.394
S 0.301 0.750 0.894
S 0.310 0.250 0.903
S 0.436 0.513 0.276
S 0.436 0.987 0.276
S 0.564 0.013 0.724
S 0.564 0.487 0.724
S 0.690 0.750 0.097
S 0.699 0.250 0.106
S 0.801 0.750 0.606
S 0.810 0.250 0.597
S 0.936 0.513 0.224
S 0.936 0.987 0.224

Top 12 peaks for 10 to 90 degrees two-theta, low angle first:
2θ/deg	d/Å	Rel. int.
14.52	6.100	506
15.81	5.605	456
22.67	3.922	395
25.17	3.538	1000
27.62	3.230	530
32.99	2.716	280
34.91	2.570	484
40.54	2.225	514
41.59	2.171	375
48.06	1.893	200
55.39	1.659	238
57.02	1.615	178


# 2
# Si3H
Theoretical X-ray powder pattern, copper Kα. Input: the GGA-PBE geometry in the Materials Project.
Intensities are scaled so that the largest is 1000.

Structure:
Unit cell a=4.102 b=4.102 c=4.102 alpha=60.00 beta=60.00 gamma=60.00
Element x y z (fractional)
Si 0.000 0.000 0.000
Si 0.250 0.250 0.250
Si 0.750 0.750 0.750
H 0.500 0.500 0.500

Top 10 peaks for 10 to 90 degrees two-theta, low angle first:
2θ/deg	d/Å	Rel. int.
26.61	3.349	280
30.83	2.901	140
44.16	2.051	1000
52.30	1.749	121
54.82	1.675	35
64.22	1.450	159
70.79	1.331	51
72.92	1.297	47
81.24	1.184	335
87.34	1.116	41


# 3
# Ho2CuOs
Theoretical X-ray powder pattern, copper Kα. Input: the GGA-PBE geometry in the Materials Project.
Intensities are scaled so that the largest is 1000.

Structure:
Unit cell a=4.827 b=4.827 c=4.827 alpha=60.00 beta=60.00 gamma=60.00
Element x y z (fractional)
Ho 0.250 0.250 0.250
Ho 0.750 0.750 0.750
Cu 0.000 0.000 0.000
Os 0.500 0.500 0.500

Top 12 peaks for 10 to 90 degrees two-theta, low angle first:
2θ/deg	d/Å	Rel. int.
22.56	3.941	95
26.11	3.413	18
37.26	2.413	1000
43.99	2.058	52
46.06	1.971	5
53.71	1.707	175
58.98	1.566	23
60.67	1.526	7
67.18	1.393	355
71.86	1.314	18
79.41	1.207	111
83.85	1.154	19


# 4
# Al2O3
Theoretical X-ray powder pattern, copper Kα. Input: the GGA-PBE geometry in the Materials Project.
Intensities are scaled so that the largest is 1000.

Structure:
Unit cell a=4.886 b=8.397 c=9.025 alpha=90.00 beta=90.00 gamma=90.00
Element x y z (fractional)
Al 0.172 0.031 0.000
Al 0.176 0.348 0.201
Al 0.183 0.660 0.010
Al 0.186 0.346 0.789
Al 0.314 0.846 0.289
Al 0.317 0.160 0.510
Al 0.324 0.848 0.701
Al 0.328 0.531 0.500
Al 0.672 0.469 0.000
Al 0.676 0.152 0.201
Al 0.683 0.840 0.010
Al 0.686 0.154 0.789
Al 0.814 0.654 0.289
Al 0.817 0.340 0.510
Al 0.824 0.652 0.701
Al 0.828 0.969 0.500
O 0.018 0.169 0.141
O 0.021 0.824 0.129
O 0.023 0.488 0.636
O 0.157 0.339 0.400
O 0.158 0.669 0.374
O 0.158 0.999 0.406
O 0.342 0.169 0.874
O 0.342 0.499 0.906
O 0.343 0.839 0.900
O 0.477 0.988 0.136
O 0.479 0.324 0.629
O 0.482 0.669 0.641
O 0.518 0.331 0.141
O 0.521 0.676 0.129
O 0.523 0.012 0.636
O 0.657 0.161 0.400
O 0.658 0.501 0.406
O 0.658 0.831 0.374
O 0.842 0.001 0.906
O 0.842 0.331 0.874
O 0.843 0.661 0.900
O 0.977 0.512 0.136
O 0.979 0.176 0.629
O 0.982 0.831 0.641

Top 12 peaks for 10 to 90 degrees two-theta, low angle first:
2θ/deg	d/Å	Rel. int.
29.01	3.078	367
31.59	2.832	469
34.47	2.602	1000
38.38	2.345	235
42.06	2.148	248
42.26	2.139	607
48.16	1.890	207
63.44	1.466	192
64.15	1.452	228
64.30	1.449	506
66.41	1.408	500
66.85	1.399	199


Which formula does entry 1 have?
Ca2SnS4


Repeat the third record exactly.
# Ho2CuOs
Theoretical X-ray powder pattern, copper Kα. Input: the GGA-PBE geometry in the Materials Project.
Intensities are scaled so that the largest is 1000.

Structure:
Unit cell a=4.827 b=4.827 c=4.827 alpha=60.00 beta=60.00 gamma=60.00
Element x y z (fractional)
Ho 0.250 0.250 0.250
Ho 0.750 0.750 0.750
Cu 0.000 0.000 0.000
Os 0.500 0.500 0.500

Top 12 peaks for 10 to 90 degrees two-theta, low angle first:
2θ/deg	d/Å	Rel. int.
22.56	3.941	95
26.11	3.413	18
37.26	2.413	1000
43.99	2.058	52
46.06	1.971	5
53.71	1.707	175
58.98	1.566	23
60.67	1.526	7
67.18	1.393	355
71.86	1.314	18
79.41	1.207	111
83.85	1.154	19